Starting from a crystal structure in Alexandria, relaxed with GGA-PBE, the PXRD pattern of K6Na was calculated for Cu Kα (λ = 1.5418 Å).
No peak broadening, texture or thermal motion is included.

Structural model:
Cell lengths 7.2006, 7.2006, 30.9573 Å; angles 90.00, 90.00, 120.00 degrees
Space group R-3m (No. 166, hexagonal axes)
Symmetry-distinct sites (fractional):
K (0.0000, 0.0000, 0.0723) x6
K (0.0000, 0.0000, 0.2109) x6
K (0.0000, 0.0000, 0.3622) x6
Na (0.0000, 0.0000, 0.5000) x3

Peak list (10 most intense, 2θ = 10–80°, in order of rising 2θ)
d/Å	2θ/deg	intensity
3.604	24.70	100
2.548	35.22	18
2.081	43.48	28
2.079	43.54	10
1.804	50.60	6
1.800	50.71	6
1.612	57.15	15
1.364	68.82	3
1.361	68.98	12
1.201	79.89	5

Starting from a crystal structure in Alexandria, relaxed with GGA-PBE, the PXRD pattern of K17Na2 was calculated for Cu Kα (λ = 1.5418 Å).
No peak broadening, texture or thermal motion is included.

Structural model:
Cell lengths 14.5408, 14.5408, 23.5900 Å; angles 90.00, 90.00, 120.00 degrees
Space group R-3m (No. 166, hexagonal axes)
Symmetry-distinct sites (fractional):
K (0.0000, 0.0000, 0.0897) x6
K (0.0000, 0.3201, 0.0000) x18
K (0.0002, 0.5001, 0.1538) x18
K (0.0000, 0.5000, 0.5000) x9
Na (0.0000, 0.0000, 0.2710) x6

Peak list (10 most intense, 2θ = 10–80°, in order of rising 2θ)
d/Å	2θ/deg	intensity
4.198	21.17	26
3.932	22.62	27
3.703	24.03	84
3.635	24.49	42
3.458	25.76	66
3.300	27.02	100
2.316	38.88	21
2.252	40.03	33
2.126	42.52	27
2.099	43.10	29

Starting from a crystal structure in Alexandria, relaxed with GGA-PBE, the PXRD pattern of KNa12 was calculated for Cu Kα (λ = 1.5418 Å).
No peak broadening, texture or thermal motion is included.

Structural model:
Cell lengths 12.4158, 12.4158, 6.8175 Å; angles 90.00, 90.00, 90.00 degrees
Space group I4/mmm (No. 139)
Symmetry-distinct sites (fractional):
K (0.0000, 0.0000, 0.0000) x2
Na (0.0000, 0.2163, 0.5000) x8
Na (0.0000, 0.3586, 0.0000) x8
Na (0.2500, 0.2500, 0.2500) x8

Peak list (10 most intense, 2θ = 10–80°, in order of rising 2θ)
d/Å	2θ/deg	intensity
3.538	25.17	43
3.104	28.76	59
3.074	29.05	100
2.988	29.90	70
2.776	32.24	27
2.755	32.51	20
2.692	33.28	44
1.897	47.96	23
1.786	51.14	20
1.769	51.68	26

Starting from a crystal structure in Alexandria, relaxed with GGA-PBE, the PXRD pattern of KNa15 was calculated for Cu Kα (λ = 1.5418 Å).
No peak broadening, texture or thermal motion is included.

Structural model:
Cell lengths 7.6449, 7.6449, 12.2808 Å; angles 90.00, 90.00, 120.00 degrees
Space group P-6m2 (No. 187)
Symmetry-distinct sites (fractional):
K (0.0000, 0.0000, 0.0000) x1
Na (0.0000, 0.0000, 0.5000) x1
Na (0.0060, 0.5030, 0.5000) x3
Na (0.3333, 0.6667, 0.2459) x2
Na (0.3394, 0.1697, 0.2608) x6
Na (0.5025, 0.0050, 0.0000) x3

Peak list (10 most intense, 2θ = 10–80°, in order of rising 2θ)
d/Å	2θ/deg	intensity
3.310	26.93	24
3.070	29.08	25
2.914	30.68	100
2.251	40.05	15
1.911	47.58	18
1.741	52.57	19
1.623	56.74	20
1.598	57.68	14
1.287	73.60	6
1.226	77.93	10

Starting from a crystal structure in Alexandria, relaxed with GGA-PBE, the PXRD pattern of KNaNdNbO5 was calculated for Cu Kα (λ = 1.5418 Å).
No peak broadening, texture or thermal motion is included.

Structural model:
Cell lengths 5.7885, 5.7885, 8.3952 Å; angles 90.00, 90.00, 90.00 degrees
Space group P4/nmm (No. 129, origin choice 2)
Symmetry-distinct sites (fractional):
K (0.2500, 0.7500, 0.0000) x2
Na (0.2500, 0.2500, 0.2412) x2
Nd (0.2500, 0.7500, 0.5000) x2
Nb (0.2500, 0.2500, 0.7419) x2
O (0.0191, 0.0191, 0.6697) x8
O (0.2500, 0.2500, 0.9649) x2

Peak list (10 most intense, 2θ = 10–80°, in order of rising 2θ)
d/Å	2θ/deg	intensity
8.395	10.54	52
4.765	18.62	28
3.679	24.19	28
2.930	30.50	100
2.894	30.90	38
2.310	38.99	10
2.047	44.26	30
1.699	53.97	26
1.678	54.70	38
1.465	63.49	12

Starting from a crystal structure in Alexandria, relaxed with GGA-PBE, the PXRD pattern of KNaNb2O6 was calculated for Cu Kα (λ = 1.5418 Å).
No peak broadening, texture or thermal motion is included.

Structural model:
Cell lengths 4.1384, 3.9927, 8.1018 Å; angles 90.00, 90.55, 90.00 degrees
Space group Pm (No. 6)
Symmetry-distinct sites (fractional):
K (0.0000, 0.0000, 0.0000) x1
Na (0.0588, 0.0000, 0.4914) x1
Nb (0.5140, 0.5000, 0.7422) x1
Nb (0.5187, 0.5000, 0.2482) x1
O (0.4587, 0.5000, 0.5084) x1
O (0.4632, 0.0000, 0.7580) x1
O (0.4681, 0.0000, 0.2666) x1
O (0.4783, 0.5000, 0.0112) x1
O (0.9662, 0.5000, 0.7513) x1
O (0.9707, 0.5000, 0.2647) x1

Peak list (10 most intense, 2θ = 10–80°, in order of rising 2θ)
d/Å	2θ/deg	intensity
4.138	21.47	45
4.051	21.94	42
3.993	22.27	41
2.909	30.74	35
2.876	31.10	100
2.844	31.46	65
2.069	43.75	28
2.025	44.75	28
1.996	45.43	27
1.422	65.67	15

Starting from a crystal structure in Alexandria, relaxed with GGA-PBE, the PXRD pattern of KNaNb2O6 was calculated for Cu Kα (λ = 1.5418 Å).
No peak broadening, texture or thermal motion is included.

Structural model:
Cell lengths 8.3874, 7.9572, 4.0168 Å; angles 90.00, 90.42, 90.00 degrees
Space group Cm (No. 8)
Symmetry-distinct sites (fractional):
K (0.0000, 0.0000, 0.0000) x2
Na (0.4588, 0.0000, 0.0178) x2
Nb (0.2376, 0.2535, 0.5098) x4
O (0.0165, 0.2694, 0.4932) x4
O (0.2523, 0.0000, 0.4850) x2
O (0.2661, 0.2457, 0.9902) x4
O (0.2808, 0.5000, 0.4860) x2

Peak list (10 most intense, 2θ = 10–80°, in order of rising 2θ)
d/Å	2θ/deg	intensity
4.194	21.19	46
4.017	22.13	41
3.979	22.35	39
2.912	30.71	34
2.888	30.97	100
2.827	31.65	62
2.097	43.14	27
2.008	45.15	27
1.989	45.60	26
1.644	55.95	24

Starting from a crystal structure in Alexandria, relaxed with GGA-PBE, the PXRD pattern of K2NaNb3O9 was calculated for Cu Kα (λ = 1.5418 Å).
No peak broadening, texture or thermal motion is included.

Structural model:
Cell lengths 8.1185, 4.0006, 13.0773 Å; angles 90.00, 107.63, 90.00 degrees
Space group Pm (No. 6)
Symmetry-distinct sites (fractional):
K (0.0000, 0.0000, 0.0000) x1
K (0.1662, 0.0000, 0.3313) x1
K (0.3336, 0.0000, 0.6674) x1
K (0.6672, 0.0000, 0.3325) x1
Na (0.4810, 0.0000, 0.9794) x1
Na (0.8135, 0.0000, 0.6477) x1
Nb (0.1565, 0.5000, 0.8274) x1
Nb (0.3276, 0.5000, 0.1586) x1
Nb (0.4927, 0.5000, 0.4954) x1
Nb (0.6601, 0.5000, 0.8275) x1
Nb (0.8222, 0.5000, 0.1590) x1
Nb (0.9920, 0.5000, 0.4959) x1
O (0.0132, 0.0000, 0.5123) x1
O (0.0891, 0.5000, 0.6774) x1
O (0.0966, 0.5000, 0.1704) x1
O (0.1880, 0.0000, 0.8451) x1
O (0.2646, 0.5000, 0.5106) x1
O (0.2717, 0.5000, 0.0088) x1
O (0.3497, 0.0000, 0.1746) x1
O (0.4278, 0.5000, 0.3451) x1
O (0.4303, 0.5000, 0.8401) x1
O (0.5209, 0.0000, 0.5126) x1
O (0.5978, 0.5000, 0.1770) x1
O (0.6036, 0.5000, 0.6772) x1
O (0.6803, 0.0000, 0.8436) x1
O (0.7536, 0.5000, 0.0092) x1
O (0.7641, 0.5000, 0.5113) x1
O (0.8493, 0.0000, 0.1755) x1
O (0.9294, 0.5000, 0.3455) x1
O (0.9319, 0.5000, 0.8452) x1

Peak list (10 most intense, 2θ = 10–80°, in order of rising 2θ)
d/Å	2θ/deg	intensity
4.154	21.39	59
4.059	21.90	56
4.001	22.22	54
2.915	30.67	52
2.892	30.92	50
2.882	31.03	100
2.849	31.40	96
2.077	43.57	42
2.030	44.65	41
2.000	45.34	40